Computed X-ray diffraction stick pattern
Compound: Cs3ThBr8
Radiation: Cu Kα, 1.54184 Å
Structure: a structure optimized by DFT (GGA-PBE)
Lines closer than 0.1° are merged.

Top 10 peaks for 10° ≤ 2θ ≤ 80°, by angle:
- 7.457 Å, 11.9 deg, I 40.3
- 6.458 Å, 13.7 deg, I 22.1
- 4.567 Å, 19.4 deg, I 80.4
- 3.229 Å, 27.6 deg, I 64.9
- 2.888 Å, 31.0 deg, I 33.5
- 2.637 Å, 34.0 deg, I 100.0
- 2.283 Å, 39.5 deg, I 32.6
- 2.042 Å, 44.4 deg, I 29.6
- 1.726 Å, 53.1 deg, I 54.8
- 1.267 Å, 75.0 deg, I 27.8

Crystal structure
```
Cs3ThBr8
1.0
-4.5667 4.5667 6.4579
4.5667 -4.5667 6.4579
4.5667 4.5667 -6.4579
Cs Th Br
3 1 8
Cartesian
0.0000 0.0000 0.0000
4.5667 0.0000 3.2290
0.0000 4.5667 3.2290
0.0000 0.0000 6.4579
1.1545 -1.1545 3.9029
2.5486 2.5486 -0.6889
2.0181 -2.0181 7.1468
-1.1545 1.1545 3.9029
3.4122 3.4122 2.5550
2.0181 2.0181 5.7691
-2.0181 2.0181 7.1468
1.1545 1.1545 9.0129
```



Computed X-ray diffraction stick pattern
Compound: PmRh
Radiation: Cu Kα, 1.54184 Å
Structure: a structure optimized by DFT (GGA-PBE)
Lines closer than 0.1° are merged.

Top 10 peaks for 10° ≤ 2θ ≤ 80°, by angle:
- 2.783 Å, 32.2 deg, I 100.0
- 2.727 Å, 32.8 deg, I 30.3
- 2.662 Å, 33.7 deg, I 25.8
- 2.296 Å, 39.2 deg, I 23.1
- 2.257 Å, 40.0 deg, I 57.6
- 2.127 Å, 42.5 deg, I 26.1
- 1.954 Å, 46.5 deg, I 20.2
- 1.677 Å, 54.7 deg, I 14.1
- 1.448 Å, 64.4 deg, I 13.1
- 1.439 Å, 64.8 deg, I 14.8

Crystal structure
```
PmRh
1.0
3.9082 0.0000 0.0000
0.0000 10.9089 0.0000
0.0000 0.0000 4.2533
Pm Rh
4 4
Cartesian
0.0000 1.5481 1.0633
0.0000 9.3608 3.1900
1.9541 3.9063 3.1900
1.9541 7.0025 1.0633
0.0000 4.5292 1.0633
0.0000 6.3796 3.1900
1.9541 0.9252 3.1900
1.9541 9.9837 1.0633
```



Computed X-ray diffraction stick pattern
Compound: Pm14NdSc
Radiation: Cu Kα, 1.54184 Å
Structure: a structure optimized by DFT (GGA-PBE)
Lines closer than 0.1° are merged.

Top 10 peaks for 10° ≤ 2θ ≤ 80°, by angle:
- 5.925 Å, 15.0 deg, I 1.0
- 3.420 Å, 26.1 deg, I 0.7
- 2.963 Å, 30.2 deg, I 100.0
- 2.566 Å, 35.0 deg, I 50.6
- 1.814 Å, 50.3 deg, I 36.0
- 1.548 Å, 59.7 deg, I 28.6
- 1.545 Å, 59.9 deg, I 14.1
- 1.481 Å, 62.7 deg, I 12.3
- 1.284 Å, 73.8 deg, I 3.8
- 1.281 Å, 74.0 deg, I 1.9

Crystal structure
```
Pm14NdSc
1.0
7.2630 0.0000 0.0000
0.0000 7.2630 0.0000
0.0000 0.0000 10.2457
Pm Nd Sc
14 1 1
Cartesian
0.0000 0.0000 0.0000
0.0000 3.6315 0.0000
0.0000 3.6315 5.1228
1.7937 1.7937 2.5965
1.7937 1.7937 7.6492
1.7937 5.4693 2.5965
1.7937 5.4693 7.6492
3.6315 0.0000 0.0000
3.6315 0.0000 5.1228
3.6315 3.6315 0.0000
5.4693 1.7937 2.5965
5.4693 1.7937 7.6492
5.4693 5.4693 2.5965
5.4693 5.4693 7.6492
3.6315 3.6315 5.1228
0.0000 0.0000 5.1228
```



Computed X-ray diffraction stick pattern
Compound: Be15V2Co2
Radiation: Cu Kα, 1.54184 Å
Structure: a structure optimized by DFT (GGA-PBE)
Lines closer than 0.1° are merged.

Top 10 peaks for 10° ≤ 2θ ≤ 80°, by angle:
- 5.451 Å, 16.3 deg, I 15.4
- 3.669 Å, 24.3 deg, I 100.0
- 2.446 Å, 36.7 deg, I 28.4
- 2.118 Å, 42.7 deg, I 33.6
- 2.035 Å, 44.5 deg, I 21.2
- 1.835 Å, 49.7 deg, I 25.8
- 1.780 Å, 51.3 deg, I 23.3
- 1.764 Å, 51.8 deg, I 10.1
- 1.468 Å, 63.4 deg, I 9.4
- 1.387 Å, 67.5 deg, I 10.5

Crystal structure
```
Be15V2Co2
1.0
3.6692 2.1184 3.5335
-3.6692 2.1184 3.5335
0.0000 -4.2368 3.5335
Be V Co
15 2 2
Cartesian
-3.6692 0.0000 5.3003
-1.0746 -2.3756 3.5335
-1.8346 1.0592 1.7668
-2.5946 0.2572 3.5335
-1.7951 -1.0364 5.1658
1.0746 -2.3756 3.5335
-1.5200 2.1184 3.5335
0.0000 -2.0728 5.4349
-1.7951 1.0364 5.4349
1.8346 1.0592 1.7668
1.7951 -1.0364 5.1658
0.0000 2.0728 5.1658
2.5946 0.2572 3.5336
1.5200 2.1184 3.5336
1.7951 1.0364 5.4349
0.0000 0.0000 3.6335
0.0000 0.0000 6.9671
0.0000 0.0000 1.1455
0.0000 0.0000 9.4552
```



Computed X-ray diffraction stick pattern
Compound: GaFeSe
Radiation: Cu Kα, 1.54184 Å
Structure: a structure optimized by DFT (GGA-PBE)
Lines closer than 0.1° are merged.

Top 10 peaks for 10° ≤ 2θ ≤ 80°, by angle:
- 3.150 Å, 28.3 deg, I 16.2
- 2.697 Å, 33.2 deg, I 62.3
- 2.638 Å, 34.0 deg, I 10.7
- 2.270 Å, 39.7 deg, I 19.0
- 2.049 Å, 44.2 deg, I 100.0
- 1.557 Å, 59.3 deg, I 27.9
- 1.396 Å, 67.0 deg, I 8.5
- 1.360 Å, 69.0 deg, I 11.8
- 1.349 Å, 69.7 deg, I 7.0
- 1.240 Å, 76.9 deg, I 18.4

Crystal structure
```
GaFeSe
1.0
12.6013 0.0000 0.0000
0.0000 3.1146 0.0000
0.0000 0.0000 5.3951
Ga Fe Se
4 4 4
Cartesian
0.0000 0.0000 0.0000
0.0000 1.5573 2.6976
6.3007 0.0000 0.0248
6.3007 1.5573 2.7223
4.4764 0.0000 1.8233
4.4764 1.5573 4.5208
8.1249 0.0000 1.8233
8.1249 1.5573 4.5208
2.9726 0.0000 0.0244
2.9726 1.5573 2.7220
9.6288 0.0000 0.0244
9.6288 1.5573 2.7220
```



Computed X-ray diffraction stick pattern
Compound: Cd6InHg7
Radiation: Cu Kα, 1.54184 Å
Structure: a structure optimized by DFT (GGA-PBE)
Lines closer than 0.1° are merged.

Top 10 peaks for 10° ≤ 2θ ≤ 80°, by angle:
- 3.285 Å, 27.1 deg, I 38.6
- 3.105 Å, 28.7 deg, I 82.9
- 2.769 Å, 32.3 deg, I 100.0
- 2.699 Å, 33.2 deg, I 36.6
- 2.657 Å, 33.7 deg, I 26.9
- 2.645 Å, 33.9 deg, I 82.2
- 2.575 Å, 34.8 deg, I 55.6
- 2.507 Å, 35.8 deg, I 75.2
- 2.362 Å, 38.1 deg, I 31.7
- 2.353 Å, 38.3 deg, I 31.7

Crystal structure
```
Cd6InHg7
1.0
-3.2495 7.7263 7.2585
3.2495 -7.7263 7.2585
3.2495 7.7263 -7.2585
Cd In Hg
12 2 14
Cartesian
5.2330 -2.6198 2.7107
1.2660 -2.6198 4.5478
0.0590 2.9858 0.0000
3.3085 4.7405 0.0000
1.2660 2.6198 2.7107
1.9835 10.3461 -2.7107
1.2660 -2.6198 9.9692
1.9835 5.1065 4.5478
-0.0590 2.9858 7.2585
3.1904 4.7405 7.2585
1.9835 10.3461 2.7107
-1.9835 10.3461 4.5478
3.2495 0.0000 3.6292
0.0000 7.7263 3.6292
1.5841 0.3934 0.0000
4.1048 2.2178 -1.6491
0.8553 5.5085 -1.6491
0.0000 0.0000 3.6292
4.1048 2.2178 1.6491
0.8553 5.5085 1.6491
1.5841 -0.3934 7.2585
1.6654 8.1197 0.0000
2.3942 2.2178 5.6094
-0.8553 5.5085 5.6094
0.0000 0.0000 10.8877
2.3942 2.2178 8.9076
-0.8553 5.5085 8.9076
1.6654 7.3329 7.2585
```



Computed X-ray diffraction stick pattern
Compound: BaGe2Au6
Radiation: Cu Kα, 1.54184 Å
Structure: a structure optimized by DFT (GGA-PBE)
Lines closer than 0.1° are merged.

Top 10 peaks for 10° ≤ 2θ ≤ 80°, by angle:
- 8.437 Å, 10.5 deg, I 53.5
- 2.639 Å, 34.0 deg, I 100.0
- 2.393 Å, 37.6 deg, I 68.0
- 2.302 Å, 39.1 deg, I 10.5
- 2.163 Å, 41.8 deg, I 51.8
- 1.692 Å, 54.2 deg, I 23.8
- 1.582 Å, 58.3 deg, I 9.1
- 1.424 Å, 65.5 deg, I 30.7
- 1.379 Å, 68.0 deg, I 11.2
- 1.333 Å, 70.7 deg, I 22.3

Crystal structure
```
BaGe2Au6
1.0
4.7852 0.0000 0.0000
0.0000 4.7852 0.0000
0.0000 0.0000 8.4369
Ba Ge Au
1 2 6
Cartesian
0.0000 0.0000 0.0000
2.3926 2.3926 1.3987
2.3926 2.3926 7.0382
0.0000 0.0000 4.2185
0.0000 2.3926 2.5224
0.0000 2.3926 5.9146
2.3926 0.0000 2.5224
2.3926 0.0000 5.9146
2.3926 2.3926 4.2185
```



Computed X-ray diffraction stick pattern
Compound: PuMn2Tc
Radiation: Cu Kα, 1.54184 Å
Structure: a structure optimized by DFT (GGA-PBE)
Lines closer than 0.1° are merged.

Top 10 peaks for 10° ≤ 2θ ≤ 80°, by angle:
- 7.160 Å, 12.4 deg, I 20.4
- 3.580 Å, 24.9 deg, I 23.9
- 2.981 Å, 30.0 deg, I 26.8
- 2.752 Å, 32.5 deg, I 22.7
- 2.291 Å, 39.3 deg, I 100.0
- 2.108 Å, 42.9 deg, I 41.5
- 1.816 Å, 50.2 deg, I 15.4
- 1.490 Å, 62.3 deg, I 13.5
- 1.364 Å, 68.8 deg, I 16.0
- 1.249 Å, 76.2 deg, I 28.2

Crystal structure
```
PuMn2Tc
1.0
2.9806 0.0000 0.0000
0.0000 2.9806 0.0000
0.0000 0.0000 7.1599
Pu Mn Tc
1 2 1
Cartesian
0.0000 0.0000 0.0000
1.4903 1.4903 2.0713
1.4903 1.4903 5.0885
0.0000 0.0000 3.5799
```